Starting from a structure optimized by DFT (PBE), the powder X-ray diffraction pattern of LiS2NO4F2 was computed for Cu Kα X-rays.

Peak list (8 most intense, 10° ≤ 2θ ≤ 80°, by intensity)
- 21.5°, d = 4.140 Å, rel. 100, hkl 1 1 1
- 27.5°, d = 3.242 Å, rel. 21, hkl 0 0 4
- 29.1°, d = 3.073 Å, rel. 14, hkl 1 1 3
- 20.3°, d = 4.369 Å, rel. 12, hkl 1 1 0
- 40.4°, d = 2.230 Å, rel. 9, hkl 1 1 5
- 36.3°, d = 2.476 Å, rel. 8, hkl 3 0 1
- 31.3°, d = 2.860 Å, rel. 5, hkl 1 2 0
- 56.4°, d = 1.632 Å, rel. 5, hkl 1 3 5

Cell and atoms:
Unit cell a=8.7381 b=8.7381 c=12.9665 alpha=90.00 beta=90.00 gamma=120.00
Space group P6_3/m (No. 176)
Unique sites:
Li 0.3333 0.6667 0.0182 x4
Li 0.3333 0.6667 0.2500 x2
S 0.0268 0.3631 0.6430 x12
N 0.1239 0.4018 0.7500 x6
O 0.1271 0.6151 0.1396 x12
O 0.1561 0.4429 0.5631 x12
F 0.0535 0.8444 0.1275 x12

Starting from a structure optimized by DFT (PBE), the powder X-ray diffraction pattern of Mo2NCl7 was computed for Cu Kα X-rays.

Peak list (8 most intense, 10° ≤ 2θ ≤ 80°, by intensity)
- 14.2°, d = 6.254 Å, rel. 100, hkl 1 -1 1
- 13.1°, d = 6.767 Å, rel. 61, hkl -1 1 1
- 20.3°, d = 4.377 Å, rel. 22, hkl 2 0 -2
- 29.0°, d = 3.077 Å, rel. 18, hkl 2 2 -2
- 14.4°, d = 6.136 Å, rel. 18, hkl 1 0 1
- 29.6°, d = 3.014 Å, rel. 17, hkl -1 2 3
- 14.5°, d = 6.106 Å, rel. 15, hkl 0 1 -2
- 41.5°, d = 2.178 Å, rel. 14, hkl 3 -2 3

Cell and atoms:
Unit cell a=9.4902 b=10.1715 c=13.7253 alpha=102.00 beta=107.77 gamma=102.24
Space group P-1 (No. 2)
Unique sites:
Mo 0.0306 0.3913 0.2310 x2
Mo 0.1152 0.9003 0.8173 x2
Mo 0.3473 0.0719 0.6792 x2
Mo 0.4380 0.5620 0.2686 x2
N 0.2440 0.9955 0.7470 x2
N 0.2466 0.4865 0.2469 x2
Cl 0.0003 0.0773 0.8135 x2
Cl 0.0647 0.2068 0.1030 x2
Cl 0.0720 0.5651 0.3821 x2
Cl 0.0818 0.5133 0.8968 x2
Cl 0.1057 0.2439 0.3523 x2
Cl 0.1852 0.9575 0.5083 x2
Cl 0.2288 0.7147 0.7682 x2
Cl 0.2552 0.2736 0.6902 x2
Cl 0.3015 0.9915 0.9839 x2
Cl 0.4220 0.7440 0.1668 x2
Cl 0.4483 0.5496 0.6172 x2
Cl 0.4503 0.4299 0.1161 x2
Cl 0.4733 0.7650 0.4089 x2
Cl 0.4795 0.0557 0.3096 x2

Starting from a structure optimized by DFT (PBE), the powder X-ray diffraction pattern of NdCo9Si4 was computed for Cu Kα X-rays.

Peak list (8 most intense, 10° ≤ 2θ ≤ 80°, by intensity)
- 40.1°, d = 2.250 Å, rel. 100, hkl 3 1 2
- 47.6°, d = 1.910 Å, rel. 39, hkl 0 0 6
- 48.7°, d = 1.871 Å, rel. 32, hkl 3 2 3
- 39.1°, d = 2.302 Å, rel. 24, hkl 2 0 4
- 35.4°, d = 2.537 Å, rel. 21, hkl 1 1 4
- 36.4°, d = 2.469 Å, rel. 21, hkl 2 2 2
- 49.2°, d = 1.852 Å, rel. 19, hkl 4 1 1
- 36.7°, d = 2.447 Å, rel. 16, hkl 3 1 0

Cell and atoms:
Unit cell a=7.7382 b=7.7382 c=11.4525 alpha=90.00 beta=90.00 gamma=90.00
Space group I4/mcm (No. 140)
Unique sites:
Nd 0.0000 0.0000 0.2500 x4
Co 0.0000 0.5000 0.0000 x4
Co 0.0693 0.1991 0.0000 x16
Co 0.1297 0.3703 0.1800 x16
Si 0.1686 0.3314 0.3781 x16

Starting from a structure optimized by DFT (PBE), the powder X-ray diffraction pattern of Bi4Te2Br2O9 was computed for Cu Kα X-rays.

Peak list (8 most intense, 10° ≤ 2θ ≤ 80°, by intensity)
- 28.7°, d = 3.116 Å, rel. 100, hkl 1 1 2
- 31.6°, d = 2.833 Å, rel. 40, hkl 2 0 0
- 54.5°, d = 1.685 Å, rel. 34, hkl 3 1 2
- 45.3°, d = 2.003 Å, rel. 23, hkl 2 2 0
- 35.2°, d = 2.549 Å, rel. 21, hkl 1 1 3
- 48.8°, d = 1.865 Å, rel. 15, hkl 2 0 4
- 75.0°, d = 1.267 Å, rel. 10, hkl 4 2 0
- 58.6°, d = 1.575 Å, rel. 10, hkl 3 1 3

Cell and atoms:
Unit cell a=5.6651 b=5.6651 c=9.9139 alpha=90.00 beta=90.00 gamma=90.00
Space group P4mm (No. 99)
Unique sites:
Bi 0.0000 0.0000 0.0000 x1
Bi 0.0000 0.5000 0.7440 x2
Bi 0.5000 0.5000 0.9863 x1
Te 0.0000 0.0000 0.5529 x1
Te 0.5000 0.5000 0.4831 x1
Br 0.0000 0.5000 0.1575 x2
O 0.2404 0.2404 0.5131 x4
O 0.2440 0.2440 0.8701 x4
O 0.5000 0.5000 0.6756 x1

Starting from a structure optimized by DFT (PBE), the powder X-ray diffraction pattern of PmTlTe2 was computed for Cu Kα X-rays.

Peak list (8 most intense, 10° ≤ 2θ ≤ 80°, by intensity)
- 32.0°, d = 2.801 Å, rel. 100, hkl 2 2 0
- 56.9°, d = 1.617 Å, rel. 39, hkl 4 2 2
- 45.8°, d = 1.980 Å, rel. 18, hkl 4 0 0
- 76.0°, d = 1.252 Å, rel. 17, hkl 6 2 0
- 66.8°, d = 1.400 Å, rel. 12, hkl 4 4 0
- 22.4°, d = 3.961 Å, rel. 3, hkl 2 0 0
- 19.4°, d = 4.573 Å, rel. 2, hkl 1 1 1
- 51.6°, d = 1.771 Å, rel. 2, hkl 4 2 0

Cell and atoms:
Unit cell a=7.9214 b=7.9214 c=7.9214 alpha=90.00 beta=90.00 gamma=90.00
Space group Fm-3m (No. 225)
Unique sites:
Pm 0.0000 0.0000 0.0000 x4
Tl 0.0000 0.0000 0.5000 x4
Te 0.2500 0.2500 0.2500 x8

Starting from a structure optimized by DFT (PBE), the powder X-ray diffraction pattern of LiVSe2 was computed for Cu Kα X-rays.

Peak list (8 most intense, 10° ≤ 2θ ≤ 80°, by intensity)
- 32.4°, d = 2.766 Å, rel. 100, hkl 0 1 1
- 40.6°, d = 2.222 Å, rel. 48, hkl 0 1 2
- 51.7°, d = 1.767 Å, rel. 29, hkl 1 1 0
- 51.9°, d = 1.761 Å, rel. 28, hkl 1 0 3
- 13.7°, d = 6.459 Å, rel. 27, hkl 0 0 1
- 62.4°, d = 1.489 Å, rel. 14, hkl 2 0 1
- 27.6°, d = 3.230 Å, rel. 12, hkl 0 0 2
- 67.8°, d = 1.383 Å, rel. 10, hkl 2 0 2

Cell and atoms:
Unit cell a=3.5342 b=3.5342 c=6.4592 alpha=90.00 beta=90.00 gamma=120.00
Space group P-3m1 (No. 164)
Unique sites:
Li 0.0000 0.0000 0.0000 x1
V 0.0000 0.0000 0.5000 x1
Se 0.3333 0.6667 0.7333 x2

Starting from a structure optimized by DFT (PBE), the powder X-ray diffraction pattern of GaP was computed for Cu Kα X-rays.

Peak list (8 most intense, 10° ≤ 2θ ≤ 80°, by intensity)
- 32.5°, d = 2.753 Å, rel. 100, hkl 2 1 1
- 50.6°, d = 1.802 Å, rel. 80, hkl 3 1 2
- 29.6°, d = 3.016 Å, rel. 33, hkl 2 1 0
- 26.4°, d = 3.372 Å, rel. 28, hkl 2 0 0
- 54.4°, d = 1.686 Å, rel. 16, hkl 4 0 0
- 71.3°, d = 1.323 Å, rel. 14, hkl 4 3 1
- 77.5°, d = 1.231 Å, rel. 11, hkl 5 2 1
- 40.1°, d = 2.248 Å, rel. 9, hkl 2 2 1

Cell and atoms:
Unit cell a=6.7435 b=6.7435 c=6.7435 alpha=90.00 beta=90.00 gamma=90.00
Space group Pa-3 (No. 205)
Unique sites:
Ga 0.1588 0.1588 0.1588 x8
P 0.1410 0.6410 0.8590 x8